[1]
Starting from a cell relaxed with GGA-PBE, the XRD peak list of RbTlCdCl4 was calculated for Cu Kα, 1.54184 Å.
No peak broadening, texture or thermal motion is included.

The 10 most intense peaks (2θ = 10–80°), in order of rising 2θ:
2θ/deg  I/Imax
11.01  36.7
23.64  100.0
23.78  91.1
32.60  32.1
32.71  36.2
33.88  67.9
41.73  47.2
48.36  28.8
48.67  23.4
54.84  29.2

Structure:
Unit cell a=7.4823 b=7.4830 c=8.8592 alpha=90.00 beta=114.93 gamma=90.00
Positions (direct):
Rb  0.0000  0.0000  0.0000
Rb  0.5000  0.5000  0.0000
Tl  0.2811  0.0000  0.5611
Tl  0.7811  0.5000  0.5611
Cd  0.1400  0.5000  0.2803
Cd  0.6400  0.0000  0.2803
Cl  0.3000  0.5000  0.6020
Cl  0.3904  0.2500  0.2812
Cl  0.3904  0.7500  0.2812
Cl  0.4768  0.0000  0.9534
Cl  0.8000  0.0000  0.6020
Cl  0.8904  0.2500  0.2812
Cl  0.8904  0.7500  0.2812
Cl  0.9768  0.5000  0.9534

[2]
Starting from a cell relaxed with GGA-PBE, the XRD peak list of KBeP3O9 was calculated for Cu Kα, 1.54184 Å.
No peak broadening, texture or thermal motion is included.

The 10 most intense peaks (2θ = 10–80°), in order of rising 2θ:
2θ/deg  I/Imax
15.29  58.8
16.85  59.3
22.26  62.6
24.39  95.5
25.19  31.6
25.47  96.8
25.65  100.0
27.12  26.0
38.61  25.5
38.96  25.2

Structure:
Unit cell a=7.9864 b=8.7725 c=11.5903 alpha=90.00 beta=90.00 gamma=90.00
Positions (direct):
K  0.0040  0.2041  0.0678
K  0.4960  0.7959  0.5678
K  0.5040  0.2959  0.9322
K  0.9960  0.7041  0.4322
Be  0.1806  0.2857  0.3720
Be  0.3194  0.7143  0.8720
Be  0.6806  0.2143  0.6280
Be  0.8194  0.7857  0.1280
P  0.1806  0.5099  0.7020
P  0.1903  0.0028  0.7992
P  0.1913  0.7885  0.1179
P  0.3087  0.2115  0.6179
P  0.3097  0.9972  0.2992
P  0.3194  0.4901  0.2020
P  0.6806  0.9901  0.2980
P  0.6903  0.4972  0.2008
P  0.6913  0.7115  0.8821
P  0.8087  0.2885  0.3821
P  0.8097  0.5028  0.7008
P  0.8194  0.0099  0.7980
O  0.0036  0.9325  0.7985
O  0.0139  0.8453  0.1278
O  0.1899  0.0835  0.6723
O  0.1945  0.1341  0.2897
O  0.2072  0.6455  0.2030
O  0.2081  0.5763  0.8207
O  0.2133  0.6029  0.5975
O  0.2172  0.1162  0.8925
O  0.2406  0.2471  0.5017
O  0.2594  0.7529  0.0017
O  0.2828  0.8838  0.3925
O  0.2867  0.3971  0.0975
O  0.2919  0.4237  0.3207
O  0.2928  0.3545  0.7030
O  0.3055  0.8659  0.7897
O  0.3101  0.9165  0.1723
O  0.4861  0.1547  0.6278
O  0.4964  0.0675  0.2985
O  0.5036  0.5675  0.2015
O  0.5139  0.6547  0.8722
O  0.6899  0.4165  0.3277
O  0.6945  0.3659  0.7103
O  0.7072  0.8545  0.7970
O  0.7081  0.9237  0.1793
O  0.7133  0.8971  0.4025
O  0.7172  0.3838  0.1075
O  0.7406  0.2529  0.4983
O  0.7594  0.7471  0.9983
O  0.7828  0.6162  0.6075
O  0.7867  0.1029  0.9025
O  0.7919  0.0763  0.6793
O  0.7928  0.1455  0.2970
O  0.8055  0.6341  0.2103
O  0.8101  0.5835  0.8277
O  0.9861  0.3453  0.3722
O  0.9964  0.4325  0.7015